No. 1
PrDyTe: theoretical powder XRD pattern (Cu Kα (λ = 1.5418 Å)), based on a GGA-PBE-relaxed structure.
Intensities are scaled so that the largest is 100.

Structural model:
```
data_PrDyTe
_chemical_formula_sum 'Pr8 Dy8 Te8'
_space_group_name_H-M_alt 'C 1 c 1'
_space_group_IT_number 9
_cell_length_a 10.0296
_cell_length_b 12.1617
_cell_length_c 7.9215
_cell_angle_alpha 90.00
_cell_angle_beta 128.86
_cell_angle_gamma 90.00
loop_
_space_group_symop_operation_xyz
'x,y,z'
'x,-y,z+1/2'
'x+1/2,y+1/2,z'
'x+1/2,-y+1/2,z+1/2'
loop_
_atom_site_label
_atom_site_type_symbol
_atom_site_fract_x
_atom_site_fract_y
_atom_site_fract_z
_atom_site_occupancy
Pr1 Pr 0.0000 0.2042 0.0000 1
Pr2 Pr 0.3262 0.2240 0.9535 1
Dy1 Dy 0.1791 0.4770 0.1617 1
Dy2 Dy 0.3073 0.0449 0.6139 1
Te1 Te 0.0075 0.0470 0.6659 1
Te2 Te 0.1497 0.3054 0.4512 1
```

The 12 most intense peaks (5° ≤ 2θ ≤ 70°), in order of falling intensity:
| d/Å | 2θ (°) | Rel. int. |
| --- | --- | --- |
| 2.526 | 35.5 | 100 |
| 2.751 | 32.6 | 71 |
| 2.727 | 32.8 | 57 |
| 2.546 | 35.3 | 37 |
| 3.113 | 28.7 | 36 |
| 3.124 | 28.6 | 30 |
| 4.331 | 20.5 | 23 |
| 3.040 | 29.4 | 22 |
| 1.443 | 64.6 | 17 |
| 3.084 | 28.9 | 15 |
| 1.942 | 46.8 | 14 |
| 1.777 | 51.4 | 13 |



No. 2
Pr4Dy3Te8: theoretical powder XRD pattern (Cu Kα (λ = 1.5418 Å)), based on a GGA-PBE-relaxed structure.
Intensities are scaled so that the largest is 100.

Structural model:
```
data_Pr4Dy3Te8
_chemical_formula_sum 'Pr8 Dy6 Te16'
_space_group_name_H-M_alt 'C 1 2/m 1'
_space_group_IT_number 12
_cell_length_a 12.5300
_cell_length_b 12.5396
_cell_length_c 8.8650
_cell_angle_alpha 90.00
_cell_angle_beta 134.95
_cell_angle_gamma 90.00
loop_
_space_group_symop_operation_xyz
'x,y,z'
'-x,-y,-z'
'-x,y,-z'
'x,-y,z'
'x+1/2,y+1/2,z'
'-x+1/2,-y+1/2,-z'
'-x+1/2,y+1/2,-z'
'x+1/2,-y+1/2,z'
loop_
_atom_site_label
_atom_site_type_symbol
_atom_site_fract_x
_atom_site_fract_y
_atom_site_fract_z
_atom_site_occupancy
Pr1 Pr 0.0000 0.0000 0.0000 1
Pr2 Pr 0.0000 0.0000 0.5000 1
Pr3 Pr 0.2500 0.2500 0.0000 1
Dy1 Dy 0.0000 0.5000 0.0000 1
Dy2 Dy 0.2500 0.2500 0.5000 1
Te1 Te 0.0000 0.2547 0.0000 1
Te2 Te 0.0000 0.2592 0.5000 1
Te3 Te 0.2362 0.5000 0.4909 1
Te4 Te 0.2363 0.5000 0.9821 1
```

The 12 most intense peaks (5° ≤ 2θ ≤ 70°), in order of falling intensity:
| d/Å | 2θ (°) | Rel. int. |
| --- | --- | --- |
| 3.135 | 28.5 | 100 |
| 2.217 | 40.7 | 76 |
| 1.402 | 66.7 | 34 |
| 1.810 | 50.4 | 27 |
| 1.567 | 58.9 | 12 |
| 3.781 | 23.5 | 4 |
| 2.877 | 31.1 | 4 |
| 6.268 | 14.1 | 3 |
| 4.434 | 20.0 | 3 |
| 7.239 | 12.2 | 3 |
| 1.632 | 56.4 | 2 |
| 2.804 | 31.9 | 2 |



No. 3
Pr2DyTe: theoretical powder XRD pattern (Cu Kα (λ = 1.5418 Å)), based on a GGA-PBE-relaxed structure.
Intensities are scaled so that the largest is 100.

Structural model:
```
data_Pr2DyTe
_chemical_formula_sum 'Pr6 Dy3 Te3'
_space_group_name_H-M_alt 'R -3 m'
_space_group_IT_number 166
_space_group_name_Hall '-R 3 2"'
_cell_length_a 3.9885
_cell_length_b 3.9885
_cell_length_c 30.4037
_cell_angle_alpha 90.00
_cell_angle_beta 90.00
_cell_angle_gamma 120.00
loop_
_atom_site_label
_atom_site_type_symbol
_atom_site_fract_x
_atom_site_fract_y
_atom_site_fract_z
_atom_site_occupancy
Pr1 Pr 0.0000 0.0000 0.2394 1
Dy1 Dy 0.0000 0.0000 0.0000 1
Te1 Te 0.0000 0.0000 0.5000 1
```

The 12 most intense peaks (5° ≤ 2θ ≤ 70°), in order of falling intensity:
| d/Å | 2θ (°) | Rel. int. |
| --- | --- | --- |
| 3.145 | 28.4 | 100 |
| 2.556 | 35.1 | 51 |
| 1.994 | 45.5 | 29 |
| 1.567 | 58.9 | 19 |
| 1.684 | 54.5 | 16 |
| 2.534 | 35.4 | 14 |
| 1.572 | 58.7 | 12 |
| 1.665 | 55.2 | 9 |
| 1.937 | 46.9 | 5 |
| 3.378 | 26.4 | 5 |
| 3.003 | 29.7 | 5 |
| 1.717 | 53.3 | 4 |



No. 4
PrDy3Te6: theoretical powder XRD pattern (Cu Kα (λ = 1.5418 Å)), based on a GGA-PBE-relaxed structure.
Intensities are scaled so that the largest is 100.

Structural model:
```
data_PrDy3Te6
_chemical_formula_sum 'Pr2 Dy6 Te12'
_space_group_name_H-M_alt 'P 1 21/m 1'
_space_group_IT_number 11
_cell_length_a 12.5192
_cell_length_b 4.4020
_cell_length_c 12.8768
_cell_angle_alpha 90.00
_cell_angle_beta 109.29
_cell_angle_gamma 90.00
loop_
_space_group_symop_operation_xyz
'x,y,z'
'-x,-y,-z'
'-x,y+1/2,-z'
'x,-y+1/2,z'
loop_
_atom_site_label
_atom_site_type_symbol
_atom_site_fract_x
_atom_site_fract_y
_atom_site_fract_z
_atom_site_occupancy
Pr1 Pr 0.0471 0.2500 0.1973 1
Dy1 Dy 0.1556 0.2500 0.5826 1
Dy2 Dy 0.3181 0.7500 0.9985 1
Dy3 Dy 0.4358 0.2500 0.3346 1
Te1 Te 0.0853 0.7500 0.4038 1
Te2 Te 0.1165 0.2500 0.9680 1
Te3 Te 0.1959 0.7500 0.7503 1
Te4 Te 0.2585 0.7500 0.2228 1
Te5 Te 0.3916 0.2500 0.5595 1
Te6 Te 0.4834 0.2500 0.1170 1
```

The 12 most intense peaks (5° ≤ 2θ ≤ 70°), in order of falling intensity:
| d/Å | 2θ (°) | Rel. int. |
| --- | --- | --- |
| 3.224 | 27.7 | 100 |
| 2.412 | 37.3 | 72 |
| 2.935 | 30.5 | 72 |
| 2.201 | 41.0 | 70 |
| 3.160 | 28.2 | 61 |
| 3.776 | 23.6 | 40 |
| 2.322 | 38.8 | 37 |
| 2.431 | 37.0 | 37 |
| 2.981 | 30.0 | 35 |
| 2.188 | 41.3 | 35 |
| 3.244 | 27.5 | 30 |
| 3.565 | 25.0 | 29 |



No. 5
Pr2Dy4Th: theoretical powder XRD pattern (Cu Kα (λ = 1.5418 Å)), based on a GGA-PBE-relaxed structure.
Intensities are scaled so that the largest is 100.

Structural model:
```
data_Pr2Dy4Th
_chemical_formula_sum 'Pr4 Dy8 Th2'
_space_group_name_H-M_alt 'C 1 m 1'
_space_group_IT_number 8
_cell_length_a 6.2788
_cell_length_b 3.6168
_cell_length_c 20.4982
_cell_angle_alpha 90.00
_cell_angle_beta 95.99
_cell_angle_gamma 90.00
loop_
_space_group_symop_operation_xyz
'x,y,z'
'x,-y,z'
'x+1/2,y+1/2,z'
'x+1/2,-y+1/2,z'
loop_
_atom_site_label
_atom_site_type_symbol
_atom_site_fract_x
_atom_site_fract_y
_atom_site_fract_z
_atom_site_occupancy
Pr1 Pr 0.0000 0.0000 0.0000 1
Pr2 Pr 0.0890 0.0000 0.2879 1
Dy1 Dy 0.2797 0.0000 0.8538 1
Dy2 Dy 0.3079 0.5000 0.4330 1
Dy3 Dy 0.3758 0.0000 0.1449 1
Dy4 Dy 0.4003 0.5000 0.7155 1
Th1 Th 0.1815 0.0000 0.5739 1
```

The 12 most intense peaks (5° ≤ 2θ ≤ 70°), in order of falling intensity:
| d/Å | 2θ (°) | Rel. int. |
| --- | --- | --- |
| 2.790 | 32.1 | 100 |
| 2.731 | 32.8 | 99 |
| 2.912 | 30.7 | 55 |
| 1.810 | 50.4 | 42 |
| 3.132 | 28.5 | 37 |
| 1.537 | 60.2 | 33 |
| 1.632 | 56.4 | 22 |
| 1.540 | 60.1 | 17 |
| 1.519 | 61.0 | 16 |
| 1.669 | 55.0 | 13 |
| 2.189 | 41.2 | 12 |
| 1.508 | 61.5 | 11 |



No. 6
Pr4Dy4Th: theoretical powder XRD pattern (Cu Kα (λ = 1.5418 Å)), based on a GGA-PBE-relaxed structure.
Intensities are scaled so that the largest is 100.

Structural model:
```
data_Pr4Dy4Th
_chemical_formula_sum 'Pr8 Dy8 Th2'
_space_group_name_H-M_alt 'I 4/m m m'
_space_group_IT_number 139
_space_group_name_Hall '-I 4 2'
_cell_length_a 10.8544
_cell_length_b 10.8544
_cell_length_c 5.1529
_cell_angle_alpha 90.00
_cell_angle_beta 90.00
_cell_angle_gamma 90.00
loop_
_atom_site_label
_atom_site_type_symbol
_atom_site_fract_x
_atom_site_fract_y
_atom_site_fract_z
_atom_site_occupancy
Pr1 Pr 0.1636 0.1636 0.0000 1
Dy1 Dy 0.0000 0.3335 0.5000 1
Th1 Th 0.0000 0.0000 0.5000 1
```

The 12 most intense peaks (5° ≤ 2θ ≤ 70°), in order of falling intensity:
| d/Å | 2θ (°) | Rel. int. |
| --- | --- | --- |
| 2.961 | 30.2 | 100 |
| 2.558 | 35.1 | 34 |
| 1.544 | 59.9 | 29 |
| 1.815 | 50.3 | 24 |
| 2.576 | 34.8 | 17 |
| 1.552 | 59.6 | 15 |
| 1.481 | 62.8 | 12 |
| 1.809 | 50.4 | 12 |
| 5.427 | 16.3 | 1 |
| 4.655 | 19.1 | 1 |
| 2.599 | 34.5 | 1 |
| 7.675 | 11.5 | 1 |



No. 7
Pr5Dy12Th2: theoretical powder XRD pattern (Cu Kα (λ = 1.5418 Å)), based on a GGA-PBE-relaxed structure.
Intensities are scaled so that the largest is 100.

Structural model:
```
data_Pr5Dy12Th2
_chemical_formula_sum 'Pr10 Dy24 Th4'
_space_group_name_H-M_alt 'C 1 2/m 1'
_space_group_IT_number 12
_cell_length_a 15.7097
_cell_length_b 9.4039
_cell_length_c 8.7129
_cell_angle_alpha 90.00
_cell_angle_beta 92.72
_cell_angle_gamma 90.00
loop_
_space_group_symop_operation_xyz
'x,y,z'
'-x,-y,-z'
'-x,y,-z'
'x,-y,z'
'x+1/2,y+1/2,z'
'-x+1/2,-y+1/2,-z'
'-x+1/2,y+1/2,-z'
'x+1/2,-y+1/2,z'
loop_
_atom_site_label
_atom_site_type_symbol
_atom_site_fract_x
_atom_site_fract_y
_atom_site_fract_z
_atom_site_occupancy
Pr1 Pr 0.0000 0.0000 0.0000 1
Pr2 Pr 0.2065 0.5000 0.5264 1
Pr3 Pr 0.2324 0.0000 0.0683 1
Dy1 Dy 0.0559 0.5000 0.8330 1
Dy2 Dy 0.0715 0.0000 0.3772 1
Dy3 Dy 0.1304 0.3081 0.1730 1
Dy4 Dy 0.1458 0.1779 0.7416 1
Th1 Th 0.0000 0.3288 0.5000 1
```

The 12 most intense peaks (5° ≤ 2θ ≤ 70°), in order of falling intensity:
| d/Å | 2θ (°) | Rel. int. |
| --- | --- | --- |
| 2.856 | 31.3 | 100 |
| 2.847 | 31.4 | 85 |
| 2.751 | 32.5 | 77 |
| 2.993 | 29.9 | 77 |
| 2.890 | 30.9 | 64 |
| 2.552 | 35.2 | 62 |
| 2.521 | 35.6 | 49 |
| 2.904 | 30.8 | 36 |
| 3.012 | 29.7 | 34 |
| 1.593 | 57.9 | 31 |
| 3.194 | 27.9 | 25 |
| 1.713 | 53.5 | 25 |



No. 8
PrDy4Th3: theoretical powder XRD pattern (Cu Kα (λ = 1.5418 Å)), based on a GGA-PBE-relaxed structure.
Intensities are scaled so that the largest is 100.

Structural model:
```
data_PrDy4Th3
_chemical_formula_sum 'Pr2 Dy8 Th6'
_space_group_name_H-M_alt 'C 1 2/m 1'
_space_group_IT_number 12
_cell_length_a 7.1684
_cell_length_b 14.2408
_cell_length_c 6.1985
_cell_angle_alpha 90.00
_cell_angle_beta 125.24
_cell_angle_gamma 90.00
loop_
_space_group_symop_operation_xyz
'x,y,z'
'-x,-y,-z'
'-x,y,-z'
'x,-y,z'
'x+1/2,y+1/2,z'
'-x+1/2,-y+1/2,-z'
'-x+1/2,y+1/2,-z'
'x+1/2,-y+1/2,z'
loop_
_atom_site_label
_atom_site_type_symbol
_atom_site_fract_x
_atom_site_fract_y
_atom_site_fract_z
_atom_site_occupancy
Pr1 Pr 0.0000 0.0000 0.0000 1
Dy1 Dy 0.0000 0.2534 0.0000 1
Dy2 Dy 0.0000 0.3752 0.5000 1
Th1 Th 0.0000 0.1233 0.5000 1
Th2 Th 0.0000 0.5000 0.0000 1
```

The 12 most intense peaks (5° ≤ 2θ ≤ 70°), in order of falling intensity:
| d/Å | 2θ (°) | Rel. int. |
| --- | --- | --- |
| 2.528 | 35.5 | 100 |
| 2.925 | 30.6 | 99 |
| 2.912 | 30.7 | 98 |
| 1.526 | 60.7 | 44 |
| 1.790 | 51.0 | 36 |
| 1.521 | 60.9 | 28 |
| 1.787 | 51.1 | 24 |
| 1.525 | 60.7 | 14 |
| 1.456 | 63.9 | 12 |
| 1.780 | 51.3 | 12 |
| 1.464 | 63.6 | 6 |
| 1.462 | 63.7 | 6 |



No. 9
PrDy6Th2: theoretical powder XRD pattern (Cu Kα (λ = 1.5418 Å)), based on a GGA-PBE-relaxed structure.
Intensities are scaled so that the largest is 100.

Structural model:
```
data_PrDy6Th2
_chemical_formula_sum 'Pr1 Dy6 Th2'
_space_group_name_H-M_alt 'P -6 m 2'
_space_group_IT_number 187
_space_group_name_Hall 'P -6 2'
_cell_length_a 3.5748
_cell_length_b 3.5748
_cell_length_c 26.5012
_cell_angle_alpha 90.00
_cell_angle_beta 90.00
_cell_angle_gamma 120.00
loop_
_atom_site_label
_atom_site_type_symbol
_atom_site_fract_x
_atom_site_fract_y
_atom_site_fract_z
_atom_site_occupancy
Pr1 Pr 0.0000 0.0000 0.0000 1
Dy1 Dy 0.0000 0.0000 0.2196 1
Dy2 Dy 0.0000 0.0000 0.4373 1
Dy3 Dy 0.3333 0.6667 0.1130 1
Th1 Th 0.3333 0.6667 0.3309 1
```

The 12 most intense peaks (5° ≤ 2θ ≤ 70°), in order of falling intensity:
| d/Å | 2θ (°) | Rel. int. |
| --- | --- | --- |
| 2.673 | 33.5 | 100 |
| 2.805 | 31.9 | 76 |
| 2.945 | 30.4 | 57 |
| 3.096 | 28.8 | 51 |
| 1.528 | 60.6 | 49 |
| 1.787 | 51.1 | 43 |
| 2.134 | 42.4 | 35 |
| 1.615 | 57.0 | 29 |
| 2.535 | 35.4 | 21 |
| 2.922 | 30.6 | 21 |
| 1.486 | 62.5 | 17 |
| 1.507 | 61.5 | 12 |



No. 10
PrDy3Th4: theoretical powder XRD pattern (Cu Kα (λ = 1.5418 Å)), based on a GGA-PBE-relaxed structure.
Intensities are scaled so that the largest is 100.

Structural model:
```
data_PrDy3Th4
_chemical_formula_sum 'Pr2 Dy6 Th8'
_space_group_name_H-M_alt 'C 1 2/m 1'
_space_group_IT_number 12
_cell_length_a 19.1487
_cell_length_b 3.4560
_cell_length_c 9.3860
_cell_angle_alpha 90.00
_cell_angle_beta 119.13
_cell_angle_gamma 90.00
loop_
_space_group_symop_operation_xyz
'x,y,z'
'-x,-y,-z'
'-x,y,-z'
'x,-y,z'
'x+1/2,y+1/2,z'
'-x+1/2,-y+1/2,-z'
'-x+1/2,y+1/2,-z'
'x+1/2,-y+1/2,z'
loop_
_atom_site_label
_atom_site_type_symbol
_atom_site_fract_x
_atom_site_fract_y
_atom_site_fract_z
_atom_site_occupancy
Pr1 Pr 0.0000 0.0000 0.0000 1
Dy1 Dy 0.0000 0.5000 0.5000 1
Dy2 Dy 0.1827 0.5000 0.1816 1
Th1 Th 0.1501 0.0000 0.8393 1
Th2 Th 0.1529 0.0000 0.4646 1
```

The 12 most intense peaks (5° ≤ 2θ ≤ 70°), in order of falling intensity:
| d/Å | 2θ (°) | Rel. int. |
| --- | --- | --- |
| 2.490 | 36.1 | 100 |
| 3.024 | 29.5 | 81 |
| 2.788 | 32.1 | 72 |
| 2.733 | 32.8 | 50 |
| 2.563 | 35.0 | 49 |
| 2.724 | 32.9 | 47 |
| 2.745 | 32.6 | 44 |
| 3.075 | 29.0 | 37 |
| 2.319 | 38.8 | 37 |
| 3.116 | 28.6 | 35 |
| 3.128 | 28.5 | 31 |
| 2.937 | 30.4 | 31 |



No. 11
PrDy6Th4: theoretical powder XRD pattern (Cu Kα (λ = 1.5418 Å)), based on a GGA-PBE-relaxed structure.
Intensities are scaled so that the largest is 100.

Structural model:
```
data_PrDy6Th4
_chemical_formula_sum 'Pr2 Dy12 Th8'
_space_group_name_H-M_alt 'I m m m'
_space_group_IT_number 71
_space_group_name_Hall '-I 2 2'
_cell_length_a 3.4416
_cell_length_b 5.8927
_cell_length_c 35.7499
_cell_angle_alpha 90.00
_cell_angle_beta 90.00
_cell_angle_gamma 90.00
loop_
_atom_site_label
_atom_site_type_symbol
_atom_site_fract_x
_atom_site_fract_y
_atom_site_fract_z
_atom_site_occupancy
Pr1 Pr 0.0000 0.0000 0.0000 1
Dy1 Dy 0.0000 0.5000 0.1317 1
Dy2 Dy 0.0000 0.5000 0.2328 1
Dy3 Dy 0.0000 0.5000 0.4029 1
Th1 Th 0.0000 0.0000 0.1826 1
Th2 Th 0.0000 0.0000 0.4553 1
```

The 12 most intense peaks (5° ≤ 2θ ≤ 70°), in order of falling intensity:
| d/Å | 2θ (°) | Rel. int. |
| --- | --- | --- |
| 2.846 | 31.4 | 100 |
| 2.946 | 30.3 | 56 |
| 2.475 | 36.3 | 45 |
| 2.659 | 33.7 | 36 |
| 1.473 | 63.1 | 34 |
| 3.306 | 27.0 | 28 |
| 1.681 | 54.6 | 20 |
| 3.101 | 28.8 | 19 |
| 2.200 | 41.0 | 18 |
| 2.820 | 31.7 | 15 |
| 1.486 | 62.5 | 15 |
| 2.136 | 42.3 | 13 |



No. 12
Pr5Dy4Th4: theoretical powder XRD pattern (Cu Kα (λ = 1.5418 Å)), based on a GGA-PBE-relaxed structure.
Intensities are scaled so that the largest is 100.

Structural model:
```
data_Pr5Dy4Th4
_chemical_formula_sum 'Pr10 Dy8 Th8'
_space_group_name_H-M_alt 'I 4/m'
_space_group_IT_number 87
_space_group_name_Hall '-I 4'
_cell_length_a 13.0776
_cell_length_b 13.0776
_cell_length_c 5.0945
_cell_angle_alpha 90.00
_cell_angle_beta 90.00
_cell_angle_gamma 90.00
loop_
_atom_site_label
_atom_site_type_symbol
_atom_site_fract_x
_atom_site_fract_y
_atom_site_fract_z
_atom_site_occupancy
Pr1 Pr 0.0000 0.0000 0.0000 1
Pr2 Pr 0.0379 0.8016 0.5000 1
Dy1 Dy 0.1544 0.2357 0.0000 1
Th1 Th 0.0727 0.6135 0.0000 1
```

The 12 most intense peaks (5° ≤ 2θ ≤ 70°), in order of falling intensity:
| d/Å | 2θ (°) | Rel. int. |
| --- | --- | --- |
| 2.955 | 30.2 | 100 |
| 2.565 | 35.0 | 34 |
| 1.546 | 59.8 | 29 |
| 1.807 | 50.5 | 24 |
| 2.547 | 35.2 | 17 |
| 1.538 | 60.2 | 14 |
| 1.477 | 62.9 | 12 |
| 1.814 | 50.3 | 12 |
| 9.247 | 9.6 | 8 |
| 2.693 | 33.3 | 2 |
| 2.327 | 38.7 | 1 |
| 3.841 | 23.2 | 1 |